Theoretical powder X-ray diffraction pattern
Compound: CdHg2Te4
Radiation: Cu Kα X-rays
Structure: a DFT-relaxed cell (GGA-PBE, Alexandria)

The 10 most intense peaks (10° ≤ 2θ ≤ 80°), low angle first:
Position (°2θ)  d/Å  I/Imax
21.85  4.067  15
22.96  3.873  27
30.11  2.968  16
30.78  2.905  13
30.94  2.890  18
33.00  2.714  100
41.60  2.171  35
48.04  1.894  15
49.17  1.853  15
70.47  1.336  22

Structural model:
a = 4.342 Å, b = 4.342 Å, c = 11.620 Å
α = 90.00°, β = 90.00°, γ = 90.00°
Space group P-4m2 (No. 115)
Unique sites:
Cd 0.000 0.000 0.000 (multiplicity 1)
Hg 0.000 0.500 0.777 (multiplicity 2)
Te 0.000 0.000 0.500 (multiplicity 1)
Te 0.000 0.500 0.173 (multiplicity 2)
Te 0.500 0.500 0.500 (multiplicity 1)



Theoretical powder X-ray diffraction pattern
Compound: Th4Cd3Hg
Radiation: Cu Kα X-rays
Structure: a DFT-relaxed cell (GGA-PBE, Alexandria)

The 10 most intense peaks (10° ≤ 2θ ≤ 80°), low angle first:
Position (°2θ)  d/Å  I/Imax
30.51  2.930  12
31.57  2.834  34
31.96  2.801  35
34.57  2.595  100
39.09  2.305  19
44.77  2.024  9
51.35  1.779  10
54.22  1.692  14
58.65  1.574  23
64.37  1.447  26

Structural model:
a = 11.202 Å, b = 6.754 Å, c = 5.863 Å
α = 90.00°, β = 90.00°, γ = 90.00°
Space group Pmma (No. 51)
Unique sites:
Th 0.000 0.250 0.000 (multiplicity 4)
Th 0.250 0.250 0.365 (multiplicity 4)
Cd 0.000 0.000 0.500 (multiplicity 2)
Cd 0.250 0.000 0.857 (multiplicity 2)
Cd 0.250 0.500 0.861 (multiplicity 2)
Hg 0.000 0.500 0.500 (multiplicity 2)



Theoretical powder X-ray diffraction pattern
Compound: ThCd4Hg2
Radiation: Cu Kα X-rays
Structure: a DFT-relaxed cell (GGA-PBE, Alexandria)

The 10 most intense peaks (10° ≤ 2θ ≤ 80°), low angle first:
Position (°2θ)  d/Å  I/Imax
24.26  3.669  30
31.79  2.815  33
33.11  2.705  79
33.30  2.690  100
34.79  2.579  47
35.97  2.497  58
36.28  2.476  65
37.27  2.412  65
37.68  2.387  29
38.69  2.327  46

Structural model:
a = 5.490 Å, b = 6.074 Å, c = 6.233 Å
α = 105.65°, β = 100.52°, γ = 108.07°
Space group P-1 (No. 2)
Unique sites:
Th 0.000 0.000 0.000 (multiplicity 1)
Cd 0.023 0.591 0.286 (multiplicity 2)
Cd 0.500 0.500 0.000 (multiplicity 1)
Cd 0.500 0.500 0.500 (multiplicity 1)
Hg 0.425 0.987 0.719 (multiplicity 2)



Theoretical powder X-ray diffraction pattern
Compound: Th3CdHg5
Radiation: Cu Kα X-rays
Structure: a DFT-relaxed cell (GGA-PBE, Alexandria)

The 10 most intense peaks (10° ≤ 2θ ≤ 80°), low angle first:
Position (°2θ)  d/Å  I/Imax
27.25  3.273  11
33.62  2.666  87
33.79  2.653  100
43.93  2.061  16
48.40  1.880  31
56.21  1.637  8
60.33  1.534  31
60.44  1.532  17
67.21  1.393  28
71.07  1.326  10

Structural model:
a = 9.1900 Å, b = 9.1900 Å, c = 6.5464 Å
α = 90.00°, β = 90.00°, γ = 120.00°
Space group P6_3/mcm (No. 193)
Unique sites:
Th 0.0000 0.3496 0.2500 (multiplicity 6)
Cd 0.0000 0.0000 0.0000 (multiplicity 2)
Hg 0.0000 0.3147 0.7500 (multiplicity 6)
Hg 0.3333 0.6667 0.0000 (multiplicity 4)



Theoretical powder X-ray diffraction pattern
Compound: ThCdHg2
Radiation: Cu Kα X-rays
Structure: a DFT-relaxed cell (GGA-PBE, Alexandria)

The 10 most intense peaks (10° ≤ 2θ ≤ 80°), low angle first:
Position (°2θ)  d/Å  I/Imax
30.33  2.947  34
30.64  2.918  37
32.38  2.765  100
33.52  2.673  47
33.66  2.663  41
35.24  2.547  80
36.88  2.437  37
37.08  2.424  77
37.55  2.395  31
54.17  1.693  26

Structural model:
a = 3.387 Å, b = 6.352 Å, c = 9.864 Å
α = 94.92°, β = 99.24°, γ = 90.95°
Space group P-1 (No. 2)
Unique sites:
Th 0.117 0.039 0.245 (multiplicity 2)
Cd 0.370 0.463 0.742 (multiplicity 2)
Hg 0.254 0.736 0.495 (multiplicity 2)
Hg 0.491 0.748 0.000 (multiplicity 2)



Theoretical powder X-ray diffraction pattern
Compound: Th2Cd3Hg3
Radiation: Cu Kα X-rays
Structure: a DFT-relaxed cell (GGA-PBE, Alexandria)

The 10 most intense peaks (10° ≤ 2θ ≤ 80°), low angle first:
Position (°2θ)  d/Å  I/Imax
20.92  4.246  9
34.27  2.616  100
34.54  2.597  99
40.61  2.221  3
49.45  1.843  36
61.20  1.514  18
61.71  1.503  37
61.88  1.499  19
72.21  1.308  11
72.84  1.299  12

Structural model:
a = 5.1940 Å, b = 5.1940 Å, c = 25.7329 Å
α = 90.00°, β = 90.00°, γ = 120.00°
Space group R3m (No. 160, hexagonal axes)
Unique sites:
Th 0.0000 0.0000 0.0000 (multiplicity 3)
Th 0.0000 0.0000 0.4943 (multiplicity 3)
Cd 0.0000 0.0000 0.2479 (multiplicity 3)
Cd 0.0000 0.0000 0.6198 (multiplicity 3)
Cd 0.0000 0.0000 0.7463 (multiplicity 3)
Hg 0.0000 0.0000 0.1230 (multiplicity 3)
Hg 0.0000 0.0000 0.3709 (multiplicity 3)
Hg 0.0000 0.0000 0.8749 (multiplicity 3)